No. 1
Computed XRD peak list of LiCoCO4 for Cu Kα (weighted mean of Kα1 and Kα2), from a DFT-relaxed cell (PBE+U, the Materials Project).
Neutral-atom scattering factors, no anomalous dispersion.

Crystal structure
```
data_LiCoCO4
_cell_length_a 3.1540
_cell_length_b 9.4240
_cell_length_c 9.6751
_cell_angle_alpha 90.00
_cell_angle_beta 108.17
_cell_angle_gamma 90.00
_symmetry_space_group_name_H-M 'P 1 21/c 1'
_symmetry_Int_Tables_number 14
_symmetry_space_group_name_Hall '-P 2ybc'
loop_
_atom_site_label
_atom_site_fract_x
_atom_site_fract_y
_atom_site_fract_z
Li1 0.0723 0.0925 0.3164
Co1 0.2948 0.6179 0.5512
C1 0.4023 0.1686 0.6376
O1 0.1410 0.5023 0.3846
O2 0.2783 0.2458 0.5151
O3 0.3742 0.0363 0.6290
O4 0.4529 0.7377 0.7389
```

Top 12 peaks for 10° ≤ 2θ ≤ 90°, in order of rising 2θ:
| 2θ (°) | I_rel |
| --- | --- |
| 13.46 | 1000 |
| 19.31 | 303 |
| 21.19 | 234 |
| 30.08 | 144 |
| 30.68 | 126 |
| 34.21 | 515 |
| 34.93 | 226 |
| 41.65 | 96 |
| 41.87 | 132 |
| 50.42 | 113 |
| 57.61 | 106 |
| 58.53 | 145 |

=====

No. 2
Computed XRD peak list of Li2CoC2O6 for Cu Kα (weighted mean of Kα1 and Kα2), from a DFT-relaxed cell (PBE+U, the Materials Project).
Neutral-atom scattering factors, no anomalous dispersion.

Crystal structure
```
data_Li2CoC2O6
_cell_length_a 5.1751
_cell_length_b 7.9295
_cell_length_c 6.4904
_cell_angle_alpha 90.00
_cell_angle_beta 113.48
_cell_angle_gamma 90.00
_symmetry_space_group_name_H-M 'P 1 c 1'
_symmetry_Int_Tables_number 7
_symmetry_space_group_name_Hall 'P -2yc'
loop_
_atom_site_label
_atom_site_fract_x
_atom_site_fract_y
_atom_site_fract_z
Li1 0.0000 0.1621 0.0000
Li2 0.7519 0.3313 0.3316
Co1 0.3557 0.2540 0.5833
C1 0.1907 0.4805 0.1989
C2 0.4902 0.0070 0.9375
O1 0.0407 0.3829 0.6568
O2 0.0956 0.3386 0.2447
O3 0.2515 0.0013 0.4598
O4 0.4363 0.4893 0.1904
O5 0.5881 0.1485 0.8991
O6 0.6306 0.1328 0.4634
```

Top 12 peaks for 10° ≤ 2θ ≤ 90°, in order of rising 2θ:
| 2θ (°) | I_rel |
| --- | --- |
| 18.67 | 1000 |
| 21.83 | 510 |
| 30.54 | 120 |
| 32.12 | 287 |
| 36.50 | 187 |
| 37.92 | 86 |
| 39.01 | 144 |
| 41.75 | 94 |
| 44.76 | 86 |
| 47.94 | 100 |
| 49.85 | 101 |
| 54.71 | 76 |

=====

No. 3
Computed XRD peak list of Li3Co2C4O12 for Cu Kα (weighted mean of Kα1 and Kα2), from a DFT-relaxed cell (PBE+U, the Materials Project).
Neutral-atom scattering factors, no anomalous dispersion.

Crystal structure
```
data_Li3Co2C4O12
_cell_length_a 7.0348
_cell_length_b 9.7190
_cell_length_c 8.5785
_cell_angle_alpha 90.00
_cell_angle_beta 110.32
_cell_angle_gamma 90.00
_symmetry_space_group_name_H-M 'P 1 21 1'
_symmetry_Int_Tables_number 4
_symmetry_space_group_name_Hall 'P 2yb'
loop_
_atom_site_label
_atom_site_fract_x
_atom_site_fract_y
_atom_site_fract_z
Li1 0.1800 0.0000 0.3160
Li2 0.2477 0.7040 0.5932
Li3 0.2479 0.9242 0.9005
Co1 0.2036 0.1876 0.6961
Co2 0.3052 0.4592 0.8249
C1 0.0111 0.9335 0.5273
C2 0.0158 0.8042 0.1025
C3 0.4755 0.8391 0.3806
C4 0.4914 0.7039 0.9741
O1 0.0133 0.3019 0.4844
O2 0.0232 0.1976 0.8166
O3 0.0545 0.4248 0.8738
O4 0.0814 0.5181 0.5908
O5 0.1225 0.7913 0.0139
O6 0.1444 0.9838 0.6632
O7 0.3417 0.8377 0.4498
O8 0.3586 0.6634 0.8350
O9 0.4072 0.2308 0.6068
O10 0.4130 0.1135 0.9146
O11 0.4760 0.3339 0.0032
O12 0.4931 0.9466 0.2975
```

Top 12 peaks for 10° ≤ 2θ ≤ 90°, in order of rising 2θ:
| 2θ (°) | I_rel |
| --- | --- |
| 14.10 | 1000 |
| 14.29 | 858 |
| 20.16 | 154 |
| 22.15 | 136 |
| 23.14 | 91 |
| 28.42 | 226 |
| 30.75 | 90 |
| 31.18 | 136 |
| 35.15 | 137 |
| 39.78 | 83 |
| 41.57 | 84 |
| 43.21 | 160 |

=====

No. 4
Computed XRD peak list of LiCoC2O6 for Cu Kα (weighted mean of Kα1 and Kα2), from a DFT-relaxed cell (PBE+U, the Materials Project).
Neutral-atom scattering factors, no anomalous dispersion.

Crystal structure
```
data_LiCoC2O6
_cell_length_a 6.4634
_cell_length_b 9.1485
_cell_length_c 10.0242
_cell_angle_alpha 105.40
_cell_angle_beta 107.02
_cell_angle_gamma 104.17
_symmetry_space_group_name_H-M 'P 1'
_symmetry_Int_Tables_number 1
_symmetry_space_group_name_Hall 'P 1'
loop_
_atom_site_label
_atom_site_fract_x
_atom_site_fract_y
_atom_site_fract_z
Li1 0.0000 0.0000 0.0000
Li2 0.0025 0.5049 0.4984
Li3 0.6811 0.1711 0.6745
Li4 0.6943 0.6744 0.1776
Co1 0.1410 0.6134 0.9389
Co2 0.1433 0.1171 0.4407
Co3 0.5472 0.2131 0.0385
Co4 0.5577 0.7234 0.5523
C1 0.1528 0.3002 0.9160
C2 0.1669 0.8044 0.4188
C3 0.5301 0.4027 0.5094
C4 0.5311 0.8936 0.0086
C5 0.7050 0.4100 0.9407
C6 0.7117 0.9073 0.4430
C7 0.9840 0.2210 0.2513
C8 0.9847 0.7199 0.7510
O1 0.0223 0.2464 0.7812
O2 0.0253 0.2976 0.3891
O3 0.0254 0.7954 0.8891
O4 0.0344 0.7493 0.2845
O5 0.0664 0.1028 0.2263
O6 0.0680 0.6029 0.7251
O7 0.2166 0.4490 0.0070
O8 0.2310 0.9552 0.5078
O9 0.2357 0.2014 0.9771
O10 0.2454 0.7056 0.4824
O11 0.4519 0.2652 0.5338
O12 0.4518 0.7550 0.0306
O13 0.4654 0.5197 0.5704
O14 0.4709 0.0121 0.0707
O15 0.6202 0.2536 0.8643
O16 0.6350 0.7560 0.3636
O17 0.6539 0.4116 0.4352
O18 0.6554 0.9026 0.9343
O19 0.6615 0.9440 0.5625
O20 0.6632 0.4545 0.0603
O21 0.8179 0.5104 0.8971
O22 0.8259 0.0212 0.4125
O23 0.8723 0.2551 0.1425
O24 0.8761 0.7564 0.6423
```

Top 12 peaks for 10° ≤ 2θ ≤ 90°, in order of rising 2θ:
| 2θ (°) | I_rel |
| --- | --- |
| 17.11 | 562 |
| 19.28 | 377 |
| 19.91 | 1000 |
| 21.51 | 124 |
| 21.62 | 119 |
| 27.90 | 154 |
| 29.62 | 88 |
| 30.88 | 330 |
| 33.12 | 112 |
| 37.22 | 131 |
| 40.93 | 94 |
| 47.89 | 104 |

=====

No. 5
Computed XRD peak list of LiCoC2O6 for Cu Kα (weighted mean of Kα1 and Kα2), from a DFT-relaxed cell (PBE+U, the Materials Project).
Neutral-atom scattering factors, no anomalous dispersion.

Crystal structure
```
data_LiCoC2O6
_cell_length_a 8.6868
_cell_length_b 4.9649
_cell_length_c 6.1401
_cell_angle_alpha 90.00
_cell_angle_beta 115.62
_cell_angle_gamma 90.00
_symmetry_space_group_name_H-M 'C 1 2/m 1'
_symmetry_Int_Tables_number 12
_symmetry_space_group_name_Hall '-C 2y'
loop_
_atom_site_label
_atom_site_fract_x
_atom_site_fract_y
_atom_site_fract_z
Li1 0.0000 0.0000 0.0000
Co1 0.0000 0.0000 0.5000
C1 0.0992 0.5000 0.2825
O1 0.0203 0.2742 0.2629
O2 0.2486 0.0000 0.7002
```

Top 12 peaks for 10° ≤ 2θ ≤ 90°, in order of rising 2θ:
| 2θ (°) | I_rel |
| --- | --- |
| 16.01 | 756 |
| 21.19 | 170 |
| 22.71 | 625 |
| 23.46 | 1000 |
| 33.25 | 158 |
| 34.44 | 489 |
| 39.79 | 102 |
| 46.37 | 137 |
| 47.98 | 249 |
| 56.84 | 112 |
| 57.88 | 134 |
| 61.33 | 153 |

=====

No. 6
Computed XRD peak list of LiCoC2O6 for Cu Kα (weighted mean of Kα1 and Kα2), from a DFT-relaxed cell (PBE+U, the Materials Project).
Neutral-atom scattering factors, no anomalous dispersion.

Crystal structure
```
data_LiCoC2O6
_cell_length_a 5.1073
_cell_length_b 10.0794
_cell_length_c 10.1900
_cell_angle_alpha 72.16
_cell_angle_beta 76.11
_cell_angle_gamma 76.20
_symmetry_space_group_name_H-M 'P 1'
_symmetry_Int_Tables_number 1
_symmetry_space_group_name_Hall 'P 1'
loop_
_atom_site_label
_atom_site_fract_x
_atom_site_fract_y
_atom_site_fract_z
Li1 0.0000 0.0000 0.0000
Li2 0.0766 0.8658 0.6423
Li3 0.4790 0.5161 0.4901
Li4 0.6079 0.3751 0.1157
Co1 0.0055 0.2059 0.3573
Co2 0.4982 0.2201 0.8410
Co3 0.5138 0.7061 0.8568
Co4 0.9849 0.7208 0.3402
C1 0.0647 0.4052 0.4147
C2 0.1810 0.2749 0.0378
C3 0.3270 0.6365 0.1603
C4 0.4616 0.5241 0.7747
C5 0.5903 0.9028 0.9149
C6 0.6671 0.7796 0.5453
C7 0.8031 0.1409 0.6601
C8 0.9639 0.0195 0.2797
O1 0.0008 0.3178 0.1323
O2 0.0643 0.6552 0.1660
O3 0.1031 0.5053 0.4551
O4 0.1283 0.2142 0.9522
O5 0.1972 0.0426 0.2900
O6 0.2563 0.6078 0.8285
O7 0.2641 0.3141 0.3669
O8 0.3435 0.8781 0.9268
O9 0.3980 0.6720 0.2578
O10 0.4373 0.4336 0.7164
O11 0.4387 0.2892 0.0117
O12 0.4808 0.8228 0.6384
O13 0.5027 0.5839 0.0678
O14 0.5382 0.1453 0.6844
O15 0.6149 0.7170 0.4603
O16 0.6388 0.9983 0.9580
O17 0.6978 0.5469 0.7836
O18 0.7550 0.1071 0.3240
O19 0.7824 0.8160 0.8559
O20 0.8216 0.3803 0.4190
O21 0.8755 0.1951 0.7438
O22 0.9218 0.7947 0.5225
O23 0.9422 0.9243 0.2247
O24 0.9703 0.0849 0.5691
```

Top 12 peaks for 10° ≤ 2θ ≤ 90°, in order of rising 2θ:
| 2θ (°) | I_rel |
| --- | --- |
| 18.60 | 299 |
| 18.85 | 1000 |
| 21.92 | 275 |
| 22.17 | 65 |
| 22.29 | 199 |
| 29.94 | 109 |
| 30.60 | 64 |
| 31.98 | 151 |
| 32.22 | 135 |
| 41.71 | 88 |
| 45.18 | 69 |
| 55.91 | 73 |

=====

No. 7
Computed XRD peak list of Li3Co2C4O12 for Cu Kα (weighted mean of Kα1 and Kα2), from a DFT-relaxed cell (PBE+U, the Materials Project).
Neutral-atom scattering factors, no anomalous dispersion.

Crystal structure
```
data_Li3Co2C4O12
_cell_length_a 5.6050
_cell_length_b 6.0864
_cell_length_c 8.3357
_cell_angle_alpha 85.23
_cell_angle_beta 75.08
_cell_angle_gamma 63.40
_symmetry_space_group_name_H-M 'P 1'
_symmetry_Int_Tables_number 1
_symmetry_space_group_name_Hall 'P 1'
loop_
_atom_site_label
_atom_site_fract_x
_atom_site_fract_y
_atom_site_fract_z
Li1 0.0000 0.0000 0.0000
Li2 0.1212 0.4713 0.7896
Li3 0.2698 0.1838 0.3157
Co1 0.4880 0.5933 0.1538
Co2 0.7375 0.0611 0.6423
C1 0.1932 0.6607 0.4377
C2 0.4917 0.0029 0.9568
C3 0.5350 0.5013 0.8594
C4 0.7330 0.1859 0.3524
O1 0.0353 0.7016 0.5856
O2 0.1419 0.5831 0.3143
O3 0.2971 0.5925 0.9728
O4 0.3061 0.0863 0.8748
O5 0.4119 0.6958 0.3970
O6 0.4352 0.9356 0.1111
O7 0.5383 0.1415 0.4476
O8 0.5460 0.4262 0.7191
O9 0.7289 0.2493 0.1977
O10 0.7369 0.9832 0.8903
O11 0.7434 0.4896 0.9066
O12 0.9321 0.1598 0.4123
```

Top 12 peaks for 10° ≤ 2θ ≤ 90°, in order of rising 2θ:
| 2θ (°) | I_rel |
| --- | --- |
| 18.30 | 1000 |
| 18.86 | 462 |
| 19.29 | 828 |
| 20.04 | 197 |
| 29.59 | 105 |
| 29.72 | 175 |
| 32.94 | 294 |
| 33.08 | 135 |
| 34.42 | 112 |
| 34.85 | 117 |
| 44.91 | 119 |
| 45.05 | 101 |

=====

No. 8
Computed XRD peak list of Li2CoC2O6 for Cu Kα (weighted mean of Kα1 and Kα2), from a DFT-relaxed cell (PBE+U, the Materials Project).
Neutral-atom scattering factors, no anomalous dispersion.

Crystal structure
```
data_Li2CoC2O6
_cell_length_a 10.3865
_cell_length_b 7.6007
_cell_length_c 7.5936
_cell_angle_alpha 90.00
_cell_angle_beta 110.59
_cell_angle_gamma 90.00
_symmetry_space_group_name_H-M 'P 1 21/c 1'
_symmetry_Int_Tables_number 14
_symmetry_space_group_name_Hall '-P 2ybc'
loop_
_atom_site_label
_atom_site_fract_x
_atom_site_fract_y
_atom_site_fract_z
Li1 0.2121 0.1179 0.3965
Li2 0.2880 0.6178 0.6042
Co1 0.0000 0.0000 0.0000
Co2 0.5000 0.0000 0.5000
C1 0.0719 0.7368 0.7551
C2 0.4283 0.2374 0.2447
O1 0.0493 0.2386 0.8740
O2 0.1168 0.6434 0.3811
O3 0.1517 0.6039 0.7519
O4 0.3483 0.1048 0.2475
O5 0.3835 0.1428 0.6184
O6 0.4506 0.7399 0.1259
```

Top 12 peaks for 10° ≤ 2θ ≤ 90°, in order of rising 2θ:
| 2θ (°) | I_rel |
| --- | --- |
| 17.17 | 1000 |
| 18.25 | 404 |
| 21.37 | 217 |
| 21.70 | 128 |
| 27.94 | 107 |
| 28.47 | 86 |
| 34.55 | 110 |
| 34.74 | 214 |
| 36.20 | 191 |
| 44.02 | 155 |
| 50.59 | 70 |
| 51.65 | 72 |